Record 1
Starting from a cell relaxed with PBE+U, the X-ray powder pattern of LiFe2B2O6 was calculated for CuKα.

Top 10 peaks for 2θ = 10–80°, by intensity:
| 2θ/deg | I/Imax |
| --- | --- |
| 21.51 | 100 |
| 35.41 | 88 |
| 19.58 | 66 |
| 34.20 | 64 |
| 26.05 | 62 |
| 26.52 | 44 |
| 40.40 | 43 |
| 19.47 | 40 |
| 21.43 | 33 |
| 34.00 | 26 |

Structural model:
abc: 5.2480 9.1144 11.3335
angles: 67.34 76.75 89.58
Atoms (fractional coordinates):
Li  0.0000  0.0000  0.0000
Li  0.0437  0.0202  0.2653
Li  0.4962  0.4925  0.0154
Li  0.7656  0.7800  0.7595
Fe  0.0367  0.3791  0.2395
Fe  0.2588  0.5929  0.4838
Fe  0.2950  0.9685  0.7291
Fe  0.4913  0.1736  0.9857
Fe  0.5579  0.8624  0.2373
Fe  0.7624  0.0962  0.4835
Fe  0.7883  0.4546  0.7356
Fe  0.9973  0.6805  0.9863
B  0.0015  0.3407  0.9845
B  0.0578  0.7145  0.2319
B  0.2610  0.9206  0.4834
B  0.2882  0.6354  0.7324
B  0.5090  0.8454  0.9738
B  0.5416  0.2116  0.2281
B  0.7569  0.4277  0.4832
B  0.7944  0.1242  0.7399
O  0.0214  0.9475  0.4579
O  0.0441  0.1072  0.7523
O  0.1042  0.4490  0.0262
O  0.1148  0.2046  0.9913
O  0.1464  0.7487  0.7689
O  0.1561  0.5419  0.6890
O  0.2668  0.6833  0.2905
O  0.2701  0.8761  0.9361
O  0.3751  0.0080  0.5397
O  0.4038  0.3448  0.2162
O  0.4056  0.8044  0.4523
O  0.4460  0.0925  0.1981
O  0.5028  0.4435  0.4824
O  0.5429  0.6143  0.7439
O  0.6153  0.9454  0.0191
O  0.6336  0.7158  0.9616
O  0.6534  0.2407  0.7708
O  0.6738  0.0191  0.7008
O  0.7693  0.3753  0.9373
O  0.7854  0.2015  0.2618
O  0.8846  0.5095  0.5394
O  0.9026  0.3279  0.4311
O  0.9458  0.8565  0.2076
O  0.9708  0.6031  0.1895



Record 2
Starting from a cell relaxed with PBE+U, the X-ray powder pattern of LiFe2B2O6 was calculated for CuKα.

Top 10 peaks for 2θ = 10–80°, by intensity:
| 2θ/deg | I/Imax |
| --- | --- |
| 21.38 | 100 |
| 19.42 | 81 |
| 33.98 | 65 |
| 35.72 | 64 |
| 26.30 | 53 |
| 40.47 | 51 |
| 53.83 | 43 |
| 26.41 | 32 |
| 38.47 | 27 |
| 60.81 | 23 |

Structural model:
abc: 5.2777 5.2777 10.0560
angles: 90.14 90.14 120.03
Atoms (fractional coordinates):
Li  0.0120  0.9880  0.5000
Li  0.9880  0.0120  0.0000
Fe  0.0208  0.3614  0.7166
Fe  0.3544  0.6629  0.4640
Fe  0.3614  0.0208  0.2166
Fe  0.6629  0.3544  0.9640
B  0.0212  0.3544  0.2106
B  0.3415  0.6813  0.9646
B  0.3544  0.0212  0.7106
B  0.6813  0.3415  0.4646
O  0.0670  0.1233  0.1941
O  0.0889  0.4241  0.9196
O  0.1233  0.0670  0.6941
O  0.2397  0.6199  0.2596
O  0.3104  0.9185  0.0079
O  0.3233  0.7527  0.6739
O  0.4241  0.0889  0.4196
O  0.6056  0.6953  0.9676
O  0.6199  0.2397  0.7596
O  0.6953  0.6056  0.4676
O  0.7527  0.3233  0.1739
O  0.9185  0.3104  0.5079